# 1
# Ti3FeS6
Computed powder XRD pattern, Cu Kα, 1.54184 Å. Input: a crystal structure in the Materials Project, relaxed with GGA-PBE.

a = 5.8354 Å, b = 5.8354 Å, c = 16.7199 Å
α = 90.00°, β = 90.00°, γ = 120.00°
Space group R-3 (No. 148, hexagonal axes)
Symmetry-distinct sites (fractional):
Ti  0.0000  0.0000  0.0000 (multiplicity 3)
Ti  0.0000  0.0000  0.3299 (multiplicity 6)
Fe  0.0000  0.0000  0.5000 (multiplicity 3)
S  0.0025  0.6743  0.5781 (multiplicity 18)

Main lines, sorted by position (2θ = 5–70°):
2theta, Rel. int., (hkl)
15.90, 126, 0 0 3
18.34, 232, 1 0 1
20.54, 170, 0 1 2
30.64, 176, 1 1 0
34.70, 903, 2 -1 3
44.98, 1000, 1 1 6
54.47, 458, 3 0 0
58.94, 130, 1 1 9

# 2
# K4MgV2Cu2S8
Computed powder XRD pattern, Cu Kα, 1.54184 Å. Input: a crystal structure in the Materials Project, relaxed with GGA-PBE.

a = 5.5939 Å, b = 7.0051 Å, c = 11.8093 Å
α = 85.55°, β = 77.15°, γ = 68.56°
Space group P1 (No. 1)
Symmetry-distinct sites (fractional):
K  0.0000  0.0000  0.0000 (multiplicity 1)
K  0.1212  0.5340  0.7366 (multiplicity 1)
K  0.3435  0.0128  0.2847 (multiplicity 1)
K  0.7470  0.5121  0.4907 (multiplicity 1)
Mg  0.5539  0.5212  0.8909 (multiplicity 1)
V  0.1861  0.0252  0.6391 (multiplicity 1)
V  0.9029  0.5104  0.1399 (multiplicity 1)
Cu  0.4017  0.5063  0.1443 (multiplicity 1)
Cu  0.6821  0.0274  0.6443 (multiplicity 1)
S  0.0830  0.8409  0.5296 (multiplicity 1)
S  0.2742  0.3478  0.0064 (multiplicity 1)
S  0.3841  0.2159  0.5327 (multiplicity 1)
S  0.4602  0.8133  0.7504 (multiplicity 1)
S  0.6185  0.7207  0.0336 (multiplicity 1)
S  0.7296  0.2942  0.2346 (multiplicity 1)
S  0.8068  0.2286  0.7558 (multiplicity 1)
S  0.9970  0.6934  0.2533 (multiplicity 1)

Main lines, sorted by position (2θ = 5–70°):
2theta, Rel. int., (hkl)
15.39, 767, 0 0 2
15.62, 1000, 0 1 1
26.97, 651, 0 1 3
28.00, 268, -1 1 1
28.13, 278, 1 -1 2
32.72, 219, 1 2 -2
39.61, 256, 2 1 -2
40.20, 241, 2 1 4

# 3
# Mg2Si
Computed powder XRD pattern, Cu Kα, 1.54184 Å. Input: a crystal structure in the Materials Project, relaxed with GGA-PBE.

a = 7.9034 Å, b = 7.9034 Å, c = 7.9034 Å
α = 90.00°, β = 90.00°, γ = 90.00°
Space group Fd-3m (No. 227, origin choice 2)
Symmetry-distinct sites (fractional):
Mg  0.0000  0.0000  0.0000 (multiplicity 16)
Si  0.1250  0.1250  0.6250 (multiplicity 8)

Main lines, sorted by position (2θ = 5–70°):
2theta, Rel. int., (hkl)
19.45, 21, 1 1 1
32.03, 312, 2 2 0
37.75, 1000, 3 1 1
39.50, 369, 2 2 2
45.93, 36, 4 0 0
57.09, 110, 4 2 2
60.91, 311, 5 1 1
66.98, 263, 4 4 0

# 4
# La3AlCdS7
Computed powder XRD pattern, Cu Kα, 1.54184 Å. Input: a crystal structure in the Materials Project, relaxed with GGA-PBE.

a = 10.3644 Å, b = 10.3644 Å, c = 6.0826 Å
α = 90.00°, β = 90.00°, γ = 120.00°
Space group P6_3 (No. 173)
Symmetry-distinct sites (fractional):
La  0.1300  0.7548  0.0000 (multiplicity 6)
Al  0.3333  0.6667  0.5812 (multiplicity 2)
Cd  0.0000  0.0000  0.2423 (multiplicity 2)
S  0.0860  0.8360  0.4876 (multiplicity 6)
S  0.1061  0.5164  0.7324 (multiplicity 6)
S  0.3333  0.6667  0.2134 (multiplicity 2)

Main lines, sorted by position (2θ = 5–70°):
2theta, Rel. int., (hkl)
9.85, 638, 1 0 0
22.54, 551, 1 1 1
24.65, 1000, 2 0 1
26.27, 898, 2 1 0
34.18, 608, 1 1 2
35.66, 788, 2 0 2
36.08, 549, 3 1 0
39.10, 628, 1 3 1

# 5
# EuAu5
Computed powder XRD pattern, Cu Kα, 1.54184 Å. Input: a crystal structure in the Materials Project, relaxed with GGA-PBE.

a = 5.6927 Å, b = 5.6927 Å, c = 4.7229 Å
α = 90.00°, β = 90.00°, γ = 120.00°
Space group P6/mmm (No. 191)
Symmetry-distinct sites (fractional):
Eu  0.0000  0.0000  0.0000 (multiplicity 1)
Au  0.0000  0.5000  0.5000 (multiplicity 3)
Au  0.3333  0.6667  0.0000 (multiplicity 2)

Main lines, sorted by position (2θ = 5–70°):
2theta, Rel. int., (hkl)
17.99, 301, 1 0 0
36.45, 278, 2 0 0
36.87, 1000, 1 1 1
38.11, 357, 0 0 2
41.31, 539, 2 0 1
53.76, 184, 2 0 2
59.56, 251, 3 0 1
65.60, 222, 2 2 0

# 6
# Zr6FeSe2
Computed powder XRD pattern, Cu Kα, 1.54184 Å. Input: a crystal structure in the Materials Project, relaxed with GGA-PBE.

a = 12.9308 Å, b = 16.0422 Å, c = 3.5097 Å
α = 90.00°, β = 90.00°, γ = 90.00°
Space group Pnnm (No. 58)
Symmetry-distinct sites (fractional):
Zr  0.0274  0.1048  0.0000 (multiplicity 4)
Zr  0.0863  0.7452  0.5000 (multiplicity 4)
Zr  0.0911  0.5789  0.0000 (multiplicity 4)
Zr  0.1186  0.4208  0.5000 (multiplicity 4)
Zr  0.1666  0.9874  0.5000 (multiplicity 4)
Zr  0.1996  0.1975  0.5000 (multiplicity 4)
Fe  0.2418  0.5874  0.5000 (multiplicity 4)
Se  0.0706  0.2905  0.0000 (multiplicity 4)
Se  0.1869  0.8480  0.0000 (multiplicity 4)

Main lines, sorted by position (2θ = 5–70°):
2theta, Rel. int., (hkl)
34.66, 381, 1 4 1
34.85, 577, 3 5 0
35.15, 462, 5 1 0
36.76, 1000, 2 4 1
37.06, 986, 3 3 1
38.00, 547, 0 5 1
39.54, 362, 4 2 1
52.12, 442, 0 0 2

# 7
# Sc5Sb3
Computed powder XRD pattern, Cu Kα, 1.54184 Å. Input: a crystal structure in the Materials Project, relaxed with GGA-PBE.

a = 11.1843 Å, b = 8.7752 Å, c = 7.6612 Å
α = 90.00°, β = 90.00°, γ = 90.00°
Space group Pnma (No. 62)
Symmetry-distinct sites (fractional):
Sc  0.0048  0.2500  0.0272 (multiplicity 4)
Sc  0.0631  0.0605  0.6959 (multiplicity 8)
Sc  0.2156  0.7500  0.3411 (multiplicity 4)
Sc  0.2272  0.2500  0.3275 (multiplicity 4)
Sb  0.0275  0.7500  0.5921 (multiplicity 4)
Sb  0.1745  0.5099  0.0654 (multiplicity 8)

Main lines, sorted by position (2θ = 5–70°):
2theta, Rel. int., (hkl)
24.70, 665, 1 2 1
26.59, 1000, 3 0 1
32.03, 948, 1 2 2
33.65, 617, 3 2 1
34.14, 503, 4 0 1
34.99, 885, 2 2 2
41.15, 505, 0 4 0
44.11, 412, 2 2 3

# 8
# YGeRh
Computed powder XRD pattern, Cu Kα, 1.54184 Å. Input: a crystal structure in the Materials Project, relaxed with GGA-PBE.

a = 6.9524 Å, b = 4.3210 Å, c = 7.6100 Å
α = 90.00°, β = 90.00°, γ = 90.00°
Space group Pnma (No. 62)
Symmetry-distinct sites (fractional):
Y  0.0037  0.2500  0.1959 (multiplicity 4)
Ge  0.2112  0.7500  0.3954 (multiplicity 4)
Rh  0.1566  0.2500  0.5686 (multiplicity 4)

Main lines, sorted by position (2θ = 5–70°):
2theta, Rel. int., (hkl)
33.94, 763, 1 1 2
34.96, 322, 2 0 2
35.17, 1000, 2 1 1
40.70, 437, 3 0 1
41.27, 743, 0 1 3
41.81, 553, 0 2 0
59.77, 275, 3 2 1
67.26, 327, 3 1 4

# 9
# Sb8Pb5S17
Computed powder XRD pattern, Cu Kα, 1.54184 Å. Input: a crystal structure in the Materials Project, relaxed with GGA-PBE.

a = 13.7117 Å, b = 11.9699 Å, c = 20.4891 Å
α = 90.00°, β = 106.02°, γ = 90.00°
Space group C2/c (No. 15)
Symmetry-distinct sites (fractional):
Sb  0.0047  0.0177  0.4002 (multiplicity 8)
Sb  0.0120  0.3048  0.5299 (multiplicity 8)
Sb  0.0473  0.3756  0.1679 (multiplicity 8)
Sb  0.2277  0.1895  0.9133 (multiplicity 8)
Pb  0.0000  0.3237  0.7500 (multiplicity 4)
Pb  0.2336  0.1278  0.3240 (multiplicity 8)
Pb  0.2388  0.4132  0.4511 (multiplicity 8)
S  0.0000  0.2423  0.2500 (multiplicity 4)
S  0.1064  0.0850  0.0018 (multiplicity 8)
S  0.1108  0.0763  0.8241 (multiplicity 8)
S  0.1115  0.3588  0.8975 (multiplicity 8)
S  0.1178  0.1890  0.6229 (multiplicity 8)
S  0.1286  0.1882  0.4361 (multiplicity 8)
S  0.1301  0.4730  0.5594 (multiplicity 8)
S  0.1451  0.4935  0.7543 (multiplicity 8)
S  0.1812  0.2332  0.1693 (multiplicity 8)

Main lines, sorted by position (2θ = 5–70°):
2theta, Rel. int., (hkl)
22.24, 1000, 1 1 4
23.34, 827, 1 3 -1
26.95, 559, 3 1 -5
27.06, 613, 4 0 0
27.36, 850, 2 2 -5
30.25, 794, 3 3 0
33.12, 684, 2 2 5
41.68, 651, 1 5 -4